The following is a simulated X-ray powder pattern of SrMg14FeO16. It was derived from a DFT-relaxed cell (PBE+U, the Materials Project), using λ = 1.5418 Å (Cu Kα).

Structure:
Cell: 4.418 8.633 8.693 Å, 90.00 90.00 90.00°
Fractional positions:
Sr (0.000, 0.000, 0.000)
Mg (0.000, 0.000, 0.500)
Mg (0.000, 0.256, 0.258)
Mg (0.000, 0.256, 0.742)
Mg (0.000, 0.500, 0.500)
Mg (0.000, 0.744, 0.258)
Mg (0.000, 0.744, 0.742)
Mg (0.500, 0.000, 0.260)
Mg (0.500, 0.000, 0.740)
Mg (0.500, 0.252, 0.500)
Mg (0.500, 0.260, 0.000)
Mg (0.500, 0.500, 0.250)
Mg (0.500, 0.500, 0.750)
Mg (0.500, 0.740, 0.000)
Mg (0.500, 0.748, 0.500)
Fe (0.000, 0.500, 0.000)
O (0.000, 0.000, 0.271)
O (0.000, 0.000, 0.729)
O (0.000, 0.253, 0.500)
O (0.000, 0.270, 0.000)
O (0.000, 0.500, 0.262)
O (0.000, 0.500, 0.738)
O (0.000, 0.730, 0.000)
O (0.000, 0.747, 0.500)
O (0.500, 0.000, 0.000)
O (0.500, 0.000, 0.500)
O (0.500, 0.250, 0.249)
O (0.500, 0.250, 0.751)
O (0.500, 0.500, 0.000)
O (0.500, 0.500, 0.500)
O (0.500, 0.750, 0.249)
O (0.500, 0.750, 0.751)

Largest 8 diffraction maxima, sorted by position, 2θ from 10° to 80°:
| Position (°2θ) | I (rel.) |
| --- | --- |
| 35.7 | 60 |
| 40.9 | 100 |
| 41.6 | 92 |
| 41.9 | 91 |
| 59.7 | 55 |
| 59.9 | 55 |
| 60.5 | 52 |
| 75.5 | 49 |

The following is a simulated X-ray powder pattern of SrMg14FeO16. It was derived from a DFT-relaxed cell (PBE+U, the Materials Project), using λ = 1.5418 Å (Cu Kα).

Structure:
Cell: 8.665 8.665 4.397 Å, 90.00 90.00 90.00°
Fractional positions:
Sr (0.000, 0.000, 0.000)
Mg (0.000, 0.260, 0.500)
Mg (0.000, 0.500, 0.000)
Mg (0.000, 0.740, 0.500)
Mg (0.252, 0.500, 0.500)
Mg (0.256, 0.256, 0.000)
Mg (0.256, 0.744, 0.000)
Mg (0.260, 0.000, 0.500)
Mg (0.500, 0.000, 0.000)
Mg (0.500, 0.252, 0.500)
Mg (0.500, 0.748, 0.500)
Mg (0.740, 0.000, 0.500)
Mg (0.744, 0.256, 0.000)
Mg (0.744, 0.744, 0.000)
Mg (0.748, 0.500, 0.500)
Fe (0.500, 0.500, 0.000)
O (0.000, 0.000, 0.500)
O (0.000, 0.271, 0.000)
O (0.000, 0.500, 0.500)
O (0.000, 0.729, 0.000)
O (0.250, 0.500, 0.000)
O (0.251, 0.251, 0.500)
O (0.251, 0.749, 0.500)
O (0.271, 0.000, 0.000)
O (0.500, 0.000, 0.500)
O (0.500, 0.250, 0.000)
O (0.500, 0.500, 0.500)
O (0.500, 0.750, 0.000)
O (0.729, 0.000, 0.000)
O (0.749, 0.251, 0.500)
O (0.749, 0.749, 0.500)
O (0.750, 0.500, 0.000)

Largest 8 diffraction maxima, sorted by position, 2θ from 10° to 80°:
| Position (°2θ) | I (rel.) |
| --- | --- |
| 14.5 | 16 |
| 35.7 | 33 |
| 41.1 | 54 |
| 41.7 | 100 |
| 59.9 | 59 |
| 60.4 | 28 |
| 72.2 | 12 |
| 75.7 | 26 |

The following is a simulated X-ray powder pattern of Sr2MgTiFeO6. It was derived from a DFT-relaxed cell (PBE+U, the Materials Project), using λ = 1.5418 Å (Cu Kα).

Structure:
Cell: 6.148 6.148 6.148 Å, 125.32 125.09 81.20°
Fractional positions:
Sr (0.182, 0.182, 0.000)
Sr (0.818, 0.818, 0.000)
Mg (0.500, 0.500, 0.000)
Ti (0.000, 0.500, 0.500)
Fe (0.500, 0.000, 0.500)
O (0.218, 0.718, 0.500)
O (0.247, 0.256, 0.503)
O (0.247, 0.744, 0.992)
O (0.753, 0.256, 0.008)
O (0.753, 0.744, 0.497)
O (0.782, 0.282, 0.500)

Largest 8 diffraction maxima, sorted by position, 2θ from 10° to 80°:
| Position (°2θ) | I (rel.) |
| --- | --- |
| 18.3 | 22 |
| 29.4 | 95 |
| 31.6 | 54 |
| 31.7 | 54 |
| 32.8 | 100 |
| 45.3 | 82 |
| 46.2 | 75 |
| 66.7 | 25 |

The following is a simulated X-ray powder pattern of Sr2MgTiFeO6. It was derived from a DFT-relaxed cell (PBE+U, the Materials Project), using λ = 1.5418 Å (Cu Kα).

Structure:
Cell: 5.877 5.877 6.238 Å, 118.03 118.03 60.00°
Fractional positions:
Sr (0.000, 0.000, 0.000)
Sr (0.579, 0.579, 0.736)
Mg (0.355, 0.355, 0.065)
Ti (0.787, 0.787, 0.362)
Fe (0.192, 0.192, 0.577)
O (0.024, 0.565, 0.154)
O (0.031, 0.031, 0.636)
O (0.031, 0.573, 0.637)
O (0.565, 0.024, 0.154)
O (0.565, 0.565, 0.154)
O (0.573, 0.031, 0.637)

Largest 8 diffraction maxima, sorted by position, 2θ from 10° to 80°:
| Position (°2θ) | I (rel.) |
| --- | --- |
| 30.4 | 100 |
| 33.5 | 77 |
| 37.1 | 22 |
| 45.9 | 31 |
| 54.1 | 19 |
| 56.0 | 41 |
| 61.8 | 20 |
| 63.3 | 22 |

The following is a simulated X-ray powder pattern of Sr2YMgTlFe2O7. It was derived from a DFT-relaxed cell (PBE+U, the Materials Project), using λ = 1.5418 Å (Cu Kα).

Structure:
Cell: 3.918 3.918 14.357 Å, 90.00 90.00 90.00°
Fractional positions:
Sr (0.000, 0.000, 0.164)
Sr (0.000, 0.000, 0.836)
Y (0.000, 0.000, 0.500)
Mg (0.500, 0.500, 0.500)
Tl (0.500, 0.500, 0.000)
Fe (0.500, 0.500, 0.327)
Fe (0.500, 0.500, 0.673)
O (0.000, 0.000, 0.000)
O (0.000, 0.500, 0.409)
O (0.000, 0.500, 0.591)
O (0.500, 0.000, 0.409)
O (0.500, 0.000, 0.591)
O (0.500, 0.500, 0.193)
O (0.500, 0.500, 0.807)

Largest 8 diffraction maxima, sorted by position, 2θ from 10° to 80°:
| Position (°2θ) | I (rel.) |
| --- | --- |
| 12.3 | 25 |
| 29.5 | 100 |
| 32.3 | 53 |
| 37.6 | 17 |
| 46.3 | 28 |
| 50.4 | 41 |
| 55.9 | 33 |
| 61.1 | 16 |

The following is a simulated X-ray powder pattern of MgTa2Fe2O8. It was derived from a DFT-relaxed cell (PBE+U, the Materials Project), using λ = 1.5418 Å (Cu Kα).

Structure:
Cell: 6.857 6.857 7.171 Å, 106.83 106.83 33.33°
Fractional positions:
Mg (0.000, 0.000, 0.000)
Ta (0.588, 0.588, 0.328)
Ta (0.786, 0.786, 0.727)
Fe (0.481, 0.481, 0.676)
Fe (0.875, 0.875, 0.308)
O (0.067, 0.067, 0.298)
O (0.301, 0.301, 0.704)
O (0.437, 0.437, 0.363)
O (0.546, 0.546, 0.040)
O (0.629, 0.629, 0.638)
O (0.741, 0.741, 0.400)
O (0.840, 0.840, 0.001)
O (0.940, 0.940, 0.708)

Largest 8 diffraction maxima, sorted by position, 2θ from 10° to 80°:
| Position (°2θ) | I (rel.) |
| --- | --- |
| 13.0 | 38 |
| 16.0 | 93 |
| 22.0 | 29 |
| 23.7 | 100 |
| 26.1 | 70 |
| 31.3 | 40 |
| 36.5 | 59 |
| 39.6 | 29 |

The following is a simulated X-ray powder pattern of MgTa2Fe2O8. It was derived from a DFT-relaxed cell (PBE+U, the Materials Project), using λ = 1.5418 Å (Cu Kα).

Structure:
Cell: 6.793 6.793 6.808 Å, 104.33 104.33 33.29°
Fractional positions:
Mg (0.000, 0.000, 0.000)
Ta (0.403, 0.403, 0.290)
Ta (0.597, 0.597, 0.710)
Fe (0.300, 0.300, 0.702)
Fe (0.700, 0.700, 0.298)
O (0.101, 0.101, 0.740)
O (0.254, 0.254, 0.323)
O (0.400, 0.400, 0.001)
O (0.439, 0.439, 0.611)
O (0.561, 0.561, 0.389)
O (0.600, 0.600, 0.999)
O (0.746, 0.746, 0.677)
O (0.899, 0.899, 0.260)

Largest 8 diffraction maxima, sorted by position, 2θ from 10° to 80°:
| Position (°2θ) | I (rel.) |
| --- | --- |
| 16.8 | 58 |
| 21.9 | 51 |
| 23.9 | 100 |
| 27.1 | 56 |
| 31.9 | 41 |
| 36.5 | 31 |
| 37.9 | 42 |
| 46.7 | 28 |

The following is a simulated X-ray powder pattern of MgTa2Fe2O8. It was derived from a DFT-relaxed cell (PBE+U, the Materials Project), using λ = 1.5418 Å (Cu Kα).

Structure:
Cell: 6.100 6.107 6.163 Å, 62.38 62.39 66.07°
Fractional positions:
Mg (0.000, 0.000, 0.000)
Ta (0.325, 0.323, 0.651)
Ta (0.728, 0.726, 0.521)
Fe (0.308, 0.307, 0.198)
Fe (0.718, 0.716, 0.015)
O (0.146, 0.148, 0.621)
O (0.182, 0.180, 0.031)
O (0.493, 0.491, 0.284)
O (0.509, 0.506, 0.726)
O (0.607, 0.986, 0.681)
O (0.629, 0.995, 0.214)
O (0.989, 0.607, 0.680)
O (0.998, 0.629, 0.213)

Largest 8 diffraction maxima, sorted by position, 2θ from 10° to 80°:
| Position (°2θ) | I (rel.) |
| --- | --- |
| 17.3 | 42 |
| 19.7 | 42 |
| 20.8 | 100 |
| 26.8 | 89 |
| 33.2 | 52 |
| 34.2 | 31 |
| 34.3 | 95 |
| 52.3 | 39 |

The following is a simulated X-ray powder pattern of MgTa2Fe2O8. It was derived from a DFT-relaxed cell (PBE+U, the Materials Project), using λ = 1.5418 Å (Cu Kα).

Structure:
Cell: 5.644 5.815 5.930 Å, 106.47 107.43 112.99°
Fractional positions:
Mg (0.000, 0.000, 0.000)
Ta (0.297, 0.687, 0.015)
Ta (0.521, 0.454, 0.518)
Fe (0.040, 0.987, 0.511)
Fe (0.770, 0.329, 0.079)
O (0.049, 0.742, 0.181)
O (0.073, 0.292, 0.848)
O (0.097, 0.296, 0.338)
O (0.469, 0.162, 0.199)
O (0.508, 0.251, 0.712)
O (0.548, 0.771, 0.840)
O (0.571, 0.724, 0.323)
O (0.961, 0.701, 0.696)

Largest 8 diffraction maxima, sorted by position, 2θ from 10° to 80°:
| Position (°2θ) | I (rel.) |
| --- | --- |
| 18.6 | 48 |
| 18.9 | 32 |
| 25.4 | 91 |
| 26.0 | 100 |
| 33.4 | 54 |
| 33.5 | 90 |
| 34.5 | 40 |
| 35.7 | 35 |

The following is a simulated X-ray powder pattern of MgTa2Fe2O8. It was derived from a DFT-relaxed cell (PBE+U, the Materials Project), using λ = 1.5418 Å (Cu Kα).

Structure:
Cell: 5.023 5.975 5.119 Å, 90.00 91.22 90.00°
Fractional positions:
Mg (0.000, 0.000, 0.000)
Ta (0.000, 0.109, 0.500)
Ta (0.500, 0.747, 0.500)
Fe (0.000, 0.555, 0.000)
Fe (0.500, 0.289, 0.000)
O (0.150, 0.281, 0.777)
O (0.182, 0.825, 0.715)
O (0.306, 0.033, 0.278)
O (0.340, 0.553, 0.250)
O (0.660, 0.553, 0.750)
O (0.694, 0.033, 0.722)
O (0.818, 0.825, 0.285)
O (0.850, 0.281, 0.223)

Largest 8 diffraction maxima, sorted by position, 2θ from 10° to 80°:
| Position (°2θ) | I (rel.) |
| --- | --- |
| 17.3 | 49 |
| 22.9 | 56 |
| 23.1 | 73 |
| 28.8 | 100 |
| 29.3 | 92 |
| 34.9 | 46 |
| 35.8 | 33 |
| 49.1 | 30 |

The following is a simulated X-ray powder pattern of MgTa2Fe2O8. It was derived from a DFT-relaxed cell (PBE+U, the Materials Project), using λ = 1.5418 Å (Cu Kα).

Structure:
Cell: 5.155 5.184 6.451 Å, 88.87 89.52 76.92°
Fractional positions:
Mg (0.000, 0.000, 0.000)
Ta (0.362, 0.699, 0.536)
Ta (0.382, 0.201, 0.233)
Fe (0.733, 0.587, 0.002)
Fe (0.872, 0.199, 0.528)
O (0.102, 0.349, 0.036)
O (0.111, 0.891, 0.722)
O (0.156, 0.930, 0.286)
O (0.165, 0.421, 0.471)
O (0.577, 0.975, 0.474)
O (0.595, 0.466, 0.280)
O (0.626, 0.985, 0.038)
O (0.627, 0.498, 0.717)

Largest 8 diffraction maxima, sorted by position, 2θ from 10° to 80°:
| Position (°2θ) | I (rel.) |
| --- | --- |
| 13.7 | 100 |
| 17.7 | 90 |
| 22.2 | 53 |
| 22.4 | 87 |
| 22.6 | 43 |
| 25.8 | 47 |
| 26.2 | 83 |
| 31.0 | 61 |

The following is a simulated X-ray powder pattern of MgTa2Fe2O8. It was derived from a DFT-relaxed cell (PBE+U, the Materials Project), using λ = 1.5418 Å (Cu Kα).

Structure:
Cell: 4.966 5.971 5.199 Å, 90.00 91.06 90.00°
Fractional positions:
Mg (0.000, 0.000, 0.000)
Ta (0.000, 0.231, 0.500)
Ta (0.000, 0.535, 0.000)
Fe (0.500, 0.035, 0.000)
Fe (0.500, 0.723, 0.500)
O (0.208, 0.492, 0.678)
O (0.210, 0.257, 0.174)
O (0.242, 0.016, 0.670)
O (0.246, 0.754, 0.140)
O (0.754, 0.754, 0.860)
O (0.758, 0.016, 0.330)
O (0.790, 0.257, 0.826)
O (0.792, 0.492, 0.322)

Largest 8 diffraction maxima, sorted by position, 2θ from 10° to 80°:
| Position (°2θ) | I (rel.) |
| --- | --- |
| 17.9 | 92 |
| 22.7 | 43 |
| 23.3 | 87 |
| 28.8 | 100 |
| 29.2 | 95 |
| 34.7 | 74 |
| 39.4 | 45 |
| 51.2 | 45 |